Diffraction record for MgAl10Cr2. The powder XRD pattern is simulated, not measured: it uses a structure optimized by DFT (PBE) and Cu Ka.

```
data_MgAl10Cr2
_chemical_formula_sum 'Mg4 Al40 Cr8'
_cell_length_a 9.0637
_cell_length_b 10.3740
_cell_length_c 9.0744
_cell_angle_alpha 90.00
_cell_angle_beta 90.00
_cell_angle_gamma 90.00
_space_group_name_H-M_alt 'C m c m'
_space_group_IT_number 63
_space_group_name_Hall '-C 2c 2'
loop_
_atom_site_label
_atom_site_fract_x
_atom_site_fract_y
_atom_site_fract_z
Mg1 0.0000 0.1339 0.2500
Al1 0.0000 0.1436 0.5959
Al2 0.0000 0.3725 0.0301
Al3 0.1546 0.3714 0.7500
Al4 0.2229 0.3634 0.2500
Al5 0.2326 0.0000 0.0000
Cr1 0.2500 0.2500 0.0000
```

Most intense lines, 2θ = 15–90°, in order of falling intensity:
- 39.78°, I 1000, hkl 0 0 4
- 44.95°, I 819, hkl 2 4 2
- 40.05°, I 782, hkl 0 4 2
- 19.58°, I 518, hkl 0 0 2
- 44.69°, I 462, hkl 2 0 4
- 36.77°, I 252, hkl 3 1 2
- 17.09°, I 242, hkl 0 2 0
- 72.29°, I 219, hkl 0 4 6
- 34.32°, I 140, hkl 0 2 3
- 75.80°, I 134, hkl 2 4 6
- 86.45°, I 124, hkl 0 8 4
- 85.88°, I 121, hkl 4 4 6